The following is a calculated X-ray diffraction stick pattern of Tb2Pr3Ho2. It was derived from a DFT-relaxed cell (PBE, Alexandria), using CuKα.

Crystal structure
Cell: 17.674 3.536 8.635 Å, 90.00 118.62 90.00°
Space group C2/m (No. 12)
Symmetry-distinct sites (fractional):
Tb (0.143, 0.000, 0.321) (multiplicity 4)
Pr (0.000, 0.000, 0.500) (multiplicity 2)
Pr (0.214, 0.000, 0.800) (multiplicity 4)
Ho (0.064, 0.500, 0.909) (multiplicity 4)

The 10 most intense peaks (10 to 90 degrees two-theta), sorted by position:
(hkl), Position (°2θ), I_rel
1 1 -1, 27.26, 34
1 1 1, 29.62, 50
6 0 -1, 30.70, 100
2 0 2, 30.82, 68
4 0 -3, 31.68, 59
3 1 -2, 33.28, 73
3 1 1, 35.83, 41
1 1 -4, 52.58, 25
8 0 1, 54.12, 18
6 2 -1, 61.39, 40

The following is a calculated X-ray diffraction stick pattern of Tb4Pr2Ho7. It was derived from a DFT-relaxed cell (PBE, Alexandria), using CuKα.

Crystal structure
Cell: 6.0735 6.0735 13.3869 Å, 90.00 90.00 120.00°
Space group P-31m (No. 162)
Symmetry-distinct sites (fractional):
Tb (0.0000, 0.0000, 0.1051) (multiplicity 2)
Tb (0.3333, 0.6667, 0.0000) (multiplicity 2)
Pr (0.3333, 0.6667, 0.5000) (multiplicity 2)
Ho (0.0000, 0.0000, 0.5000) (multiplicity 1)
Ho (0.0000, 0.3514, 0.2838) (multiplicity 6)

The 10 most intense peaks (10 to 90 degrees two-theta), sorted by position:
(hkl), Position (°2θ), I_rel
0 0 4, 26.64, 20
2 -1 1, 30.18, 49
1 1 2, 32.37, 100
0 0 5, 33.47, 15
2 -1 3, 35.77, 33
2 -1 4, 40.09, 13
1 1 6, 50.78, 19
3 0 0, 52.17, 30
4 -2 2, 62.75, 15
2 -1 8, 63.45, 27

The following is a calculated X-ray diffraction stick pattern of Tb2Pr6Ho5. It was derived from a DFT-relaxed cell (PBE, Alexandria), using CuKα.

Crystal structure
Cell: 11.776 20.690 3.643 Å, 90.00 90.00 90.00°
Space group Pbam (No. 55)
Symmetry-distinct sites (fractional):
Tb (0.166, 0.211, 0.000) (multiplicity 4)
Pr (0.060, 0.920, 0.000) (multiplicity 4)
Pr (0.083, 0.633, 0.000) (multiplicity 4)
Pr (0.174, 0.367, 0.500) (multiplicity 4)
Ho (0.000, 0.500, 0.500) (multiplicity 2)
Ho (0.093, 0.774, 0.500) (multiplicity 4)
Ho (0.199, 0.056, 0.500) (multiplicity 4)

The 10 most intense peaks (10 to 90 degrees two-theta), sorted by position:
(hkl), Position (°2θ), I_rel
1 6 0, 26.98, 21
4 1 0, 30.68, 47
1 4 1, 30.97, 48
1 7 0, 31.20, 54
2 3 1, 31.65, 100
2 4 1, 33.72, 29
3 6 0, 34.64, 19
3 3 1, 36.07, 25
0 0 2, 50.08, 19
1 7 2, 60.19, 19

The following is a calculated X-ray diffraction stick pattern of Tb2Pr6HoTh. It was derived from a DFT-relaxed cell (PBE, Alexandria), using CuKα.

Crystal structure
Cell: 9.388 15.154 9.888 Å, 90.00 98.75 90.00°
Space group C2/c (No. 15)
Symmetry-distinct sites (fractional):
Tb (0.242, 0.045, 0.050) (multiplicity 8)
Pr (0.068, 0.176, 0.444) (multiplicity 8)
Pr (0.096, 0.395, 0.619) (multiplicity 8)
Pr (0.208, 0.217, 0.811) (multiplicity 8)
Ho (0.000, 0.408, 0.250) (multiplicity 4)
Th (0.000, 0.026, 0.750) (multiplicity 4)

The 10 most intense peaks (10 to 90 degrees two-theta), sorted by position:
(hkl), Position (°2θ), I_rel
2 2 -2, 27.10, 20
1 3 2, 28.13, 43
3 1 -1, 29.53, 44
0 2 3, 29.85, 46
2 2 2, 30.91, 100
1 5 0, 31.04, 39
1 5 -1, 31.97, 22
1 3 -3, 32.90, 30
2 2 -3, 33.28, 15
1 1 -4, 37.10, 17

Repeat the fourth record exactly.
The following is a calculated X-ray diffraction stick pattern of Tb2Pr6HoTh. It was derived from a DFT-relaxed cell (PBE, Alexandria), using CuKα.

Crystal structure
Cell: 9.388 15.154 9.888 Å, 90.00 98.75 90.00°
Space group C2/c (No. 15)
Symmetry-distinct sites (fractional):
Tb (0.242, 0.045, 0.050) (multiplicity 8)
Pr (0.068, 0.176, 0.444) (multiplicity 8)
Pr (0.096, 0.395, 0.619) (multiplicity 8)
Pr (0.208, 0.217, 0.811) (multiplicity 8)
Ho (0.000, 0.408, 0.250) (multiplicity 4)
Th (0.000, 0.026, 0.750) (multiplicity 4)

The 10 most intense peaks (10 to 90 degrees two-theta), sorted by position:
(hkl), Position (°2θ), I_rel
2 2 -2, 27.10, 20
1 3 2, 28.13, 43
3 1 -1, 29.53, 44
0 2 3, 29.85, 46
2 2 2, 30.91, 100
1 5 0, 31.04, 39
1 5 -1, 31.97, 22
1 3 -3, 32.90, 30
2 2 -3, 33.28, 15
1 1 -4, 37.10, 17